# 1
Starting from DFT lattice parameters and positions (GGA-PBE), the powder diffraction line list of KTl2CdCl6 was computed for Cu Kα (weighted mean of Kα1 and Kα2).

Top 10 peaks for 2θ = 15–90°, low angle first:
(1 0 0), 2θ = 16.33°, d 5.427, I = 95.8; (1 0 -2), 2θ = 22.09°, d 4.024, I = 100.0; (-2 1 1), 2θ = 24.22°, d 3.674, I = 89.8; (-2 1 2), 2θ = 27.48°, d 3.246, I = 25.6; (0 2 -2), 2θ = 33.01°, d 2.713, I = 46.5; (1 1 1), 2θ = 35.60°, d 2.522, I = 45.2; (-2 1 3), 2θ = 35.63°, d 2.520, I = 60.3; (2 1 -1), 2θ = 38.41°, d 2.343, I = 23.3; (2 -3 1), 2θ = 41.37°, d 2.183, I = 46.3; (3 0 -2), 2θ = 42.62°, d 2.121, I = 47.5

Atomic structure:
a b c (Å): 7.343 7.351 8.120
angles (deg): 90.05 116.86 119.96
Space group P1 (No. 1)
Inequivalent atoms, fractional coordinates:
K 0.000 0.000 0.000
Tl 0.568 0.284 0.851
Tl 0.604 0.802 0.405
Cd 0.970 0.485 0.455
Cl 0.055 0.229 0.666
Cl 0.105 0.425 0.210
Cl 0.437 0.827 0.666
Cl 0.530 0.105 0.209
Cl 0.785 0.680 0.209
Cl 0.839 0.611 0.666

---

# 2
Starting from DFT lattice parameters and positions (GGA-PBE), the powder diffraction line list of La3Ga3Pd8 was computed for Cu Kα (weighted mean of Kα1 and Kα2).

Top 10 peaks for 2θ = 15–90°, low angle first:
(4 0 -3), 2θ = 30.15°, d 2.964, I = 28.6; (1 1 2), 2θ = 34.26°, d 2.618, I = 100.0; (5 1 -2), 2θ = 34.75°, d 2.581, I = 47.7; (5 1 -1), 2θ = 35.04°, d 2.561, I = 43.6; (3 1 -3), 2θ = 35.64°, d 2.519, I = 38.7; (5 1 -3), 2θ = 38.39°, d 2.345, I = 52.0; (5 1 0), 2θ = 39.19°, d 2.299, I = 42.0; (0 2 0), 2θ = 40.48°, d 2.229, I = 86.9; (1 1 3), 2θ = 44.61°, d 2.031, I = 26.9; (3 1 4), 2θ = 66.32°, d 1.409, I = 27.1

Atomic structure:
a b c (Å): 16.089 4.457 9.162
angles (deg): 90.00 123.50 90.00
Space group C2/m (No. 12)
Inequivalent atoms, fractional coordinates:
La 0.000 0.000 0.000
La 0.204 0.500 0.675
Ga 0.000 0.000 0.500
Ga 0.173 0.500 0.003
Pd 0.004 0.500 0.676
Pd 0.121 0.000 0.401
Pd 0.128 0.000 0.837
Pd 0.153 0.500 0.260

---

# 3
Starting from DFT lattice parameters and positions (GGA-PBE), the powder diffraction line list of CdSiTeMoHW was computed for Cu Kα (weighted mean of Kα1 and Kα2).

Top 10 peaks for 2θ = 15–90°, low angle first:
(0 0 1), 2θ = 15.56°, d 5.694, I = 53.6; (0 1 0), 2θ = 15.80°, d 5.610, I = 41.5; (0 1 -2), 2θ = 28.72°, d 3.108, I = 42.9; (0 0 2), 2θ = 31.42°, d 2.847, I = 50.1; (0 2 0), 2θ = 31.90°, d 2.805, I = 49.9; (1 1 -1), 2θ = 33.33°, d 2.688, I = 100.0; (1 1 -2), 2θ = 37.60°, d 2.392, I = 29.1; (1 0 1), 2θ = 38.32°, d 2.349, I = 30.5; (-1 1 2), 2θ = 45.51°, d 1.993, I = 56.7; (0 3 -2), 2θ = 45.77°, d 1.983, I = 34.6

Atomic structure:
a b c (Å): 2.990 6.158 6.423
angles (deg): 113.61 103.32 90.19
Space group P1 (No. 1)
Inequivalent atoms, fractional coordinates:
Cd 0.000 0.000 0.000
Si 0.047 0.491 0.106
Te 0.248 0.057 0.499
Mo 0.392 0.537 0.793
H 0.236 0.465 0.483
W 0.742 0.673 0.490

---

What did the second record say?
Starting from DFT lattice parameters and positions (GGA-PBE), the powder diffraction line list of La3Ga3Pd8 was computed for Cu Kα (weighted mean of Kα1 and Kα2).

Top 10 peaks for 2θ = 15–90°, low angle first:
(4 0 -3), 2θ = 30.15°, d 2.964, I = 28.6; (1 1 2), 2θ = 34.26°, d 2.618, I = 100.0; (5 1 -2), 2θ = 34.75°, d 2.581, I = 47.7; (5 1 -1), 2θ = 35.04°, d 2.561, I = 43.6; (3 1 -3), 2θ = 35.64°, d 2.519, I = 38.7; (5 1 -3), 2θ = 38.39°, d 2.345, I = 52.0; (5 1 0), 2θ = 39.19°, d 2.299, I = 42.0; (0 2 0), 2θ = 40.48°, d 2.229, I = 86.9; (1 1 3), 2θ = 44.61°, d 2.031, I = 26.9; (3 1 4), 2θ = 66.32°, d 1.409, I = 27.1

Atomic structure:
a b c (Å): 16.089 4.457 9.162
angles (deg): 90.00 123.50 90.00
Space group C2/m (No. 12)
Inequivalent atoms, fractional coordinates:
La 0.000 0.000 0.000
La 0.204 0.500 0.675
Ga 0.000 0.000 0.500
Ga 0.173 0.500 0.003
Pd 0.004 0.500 0.676
Pd 0.121 0.000 0.401
Pd 0.128 0.000 0.837
Pd 0.153 0.500 0.260